The following is a simulated XRD peak list of Sr3SnAu8. It was derived from a GGA-PBE-relaxed structure, using copper Kα.
Kinematic intensities with the Lorentz-polarization factor, no thermal factor.

Crystal structure
```
12
Lattice="2.875 1.660 9.630 -2.875 1.660 9.630 0.000 -3.320 9.630" Properties=species:S:1:pos:R:3 pbc="T T T"
Sr 0.000 0.000 0.000
Sr 0.000 0.000 3.725
Sr 0.000 0.000 14.874
Sn 0.000 0.000 18.407
Au 0.000 -1.643 6.761
Au -1.423 0.822 6.761
Au -1.429 -0.825 11.631
Au 0.000 0.000 9.191
Au 1.423 0.822 6.761
Au 1.429 -0.825 11.631
Au 0.000 1.650 11.631
Au 0.000 0.000 23.643
```

Principal peaks in the range 2θ from 15° to 90°, by intensity:
- 2.468 Å, 36.40°, I = 100
- 2.354 Å, 38.24°, I = 96
- 4.708 Å, 18.85°, I = 59
- 2.454 Å, 36.63°, I = 49
- 2.499 Å, 35.94°, I = 49
- 2.050 Å, 44.18°, I = 38
- 2.408 Å, 37.35°, I = 35
- 1.437 Å, 64.87°, I = 32
- 1.462 Å, 63.66°, I = 31
- 1.234 Å, 77.31°, I = 27